The following is a theoretical X-ray powder pattern of MnGa8Co2. It was derived from a DFT-relaxed cell (GGA-PBE, Alexandria), using λ = 1.5418 Å (Cu Kα).
Kinematic intensities with the Lorentz-polarization factor, no thermal factor.

Crystal structure
```
MnGa8Co2
1.0
4.073 -5.357 0.000
4.073 5.357 0.000
0.000 0.000 4.122
Mn Ga Co
1 8 2
direct
0.000 0.000 0.000
0.130 0.870 0.500
0.137 0.383 0.000
0.382 0.618 0.500
0.383 0.137 0.000
0.617 0.863 0.000
0.618 0.382 0.500
0.863 0.617 0.000
0.870 0.130 0.500
0.249 0.751 0.000
0.751 0.249 0.000
```

Top 10 peaks for 10 to 90 degrees two-theta, low angle first:
2θ 21.56, d 4.122, rel. 11; 2θ 21.82, d 4.073, rel. 11; 2θ 30.87, d 2.897, rel. 44; 2θ 33.46, d 2.678, rel. 18; 2θ 43.94, d 2.061, rel. 29; 2θ 44.49, d 2.036, rel. 28; 2θ 46.16, d 1.967, rel. 100; 2θ 64.31, d 1.448, rel. 17; 2θ 82.36, d 1.171, rel. 17; 2θ 83.14, d 1.162, rel. 16